For NiP2O7, a DFT-relaxed cell (PBE+U, Alexandria) gives the simulated PXRD pattern in this record (λ = 1.5418 Å (Cu Kα)).
Peak positions follow from Bragg's law for the DFT cell and can differ from measured ones.

Peak list (10 most intense, 2θ from 10° to 90°, sorted by position)
| 2θ (°) | Rel. int. |
| --- | --- |
| 16.82 | 100 |
| 21.18 | 24 |
| 22.15 | 44 |
| 24.73 | 14 |
| 25.57 | 11 |
| 27.66 | 24 |
| 28.68 | 51 |
| 29.89 | 18 |
| 34.02 | 12 |
| 38.18 | 11 |

Cell and atoms:
Cell lengths 5.0079, 8.5358, 6.9677 Å; angles 90.00, 105.93, 90.00 degrees
Space group P2_1 (No. 4)
One atom of each set of equivalent atoms:
Ni  0.2113  0.0000  0.2248 [2 per cell]
P  0.2502  0.7320  0.5944 [2 per cell]
P  0.3747  0.3181  0.0175 [2 per cell]
O  0.0189  0.6570  0.6665 [2 per cell]
O  0.1380  0.4365  0.9906 [2 per cell]
O  0.1495  0.8267  0.4068 [2 per cell]
O  0.2640  0.1517  0.0114 [2 per cell]
O  0.4221  0.8517  0.7627 [2 per cell]
O  0.4381  0.5930  0.5750 [2 per cell]
O  0.4690  0.8485  0.1371 [2 per cell]